(1)
# K2YV2O6
Simulated powder XRD pattern, Cu Kα (λ = 1.5418 Å). Input: a structure optimized by DFT (GGA+U).
Neutral-atom scattering factors, no anomalous dispersion.

Structural model:
```
data_K2YV2O6
_cell_length_a 6.1159
_cell_length_b 6.1159
_cell_length_c 18.1456
_cell_angle_alpha 90.00
_cell_angle_beta 90.00
_cell_angle_gamma 120.00
_space_group_name_H-M_alt 'R -3 m'
_space_group_IT_number 166
_space_group_name_Hall '-R 3 2"'
loop_
_atom_site_label
_atom_site_fract_x
_atom_site_fract_y
_atom_site_fract_z
K1 0.0000 0.0000 0.2080
Y1 0.0000 0.0000 0.0000
V1 0.0000 0.0000 0.4193
O1 0.0027 0.5014 0.2551
```

Top 10 peaks for 2θ = 15–90°, by angle:
19.4 deg, d = 4.574 Å, rel. 52, (0 1 2); 29.2 deg, d = 3.058 Å, rel. 90, (1 1 0); 29.8 deg, d = 2.994 Å, rel. 100, (0 1 5); 39.4 deg, d = 2.287 Å, rel. 23, (0 2 4); 42.2 deg, d = 2.139 Å, rel. 30, (2 0 5); 51.8 deg, d = 1.766 Å, rel. 17, (3 0 0); 52.2 deg, d = 1.753 Å, rel. 36, (1 2 5); 54.5 deg, d = 1.683 Å, rel. 14, (1 1 9); 60.6 deg, d = 1.529 Å, rel. 22, (2 2 0); 69.0 deg, d = 1.362 Å, rel. 15, (3 1 5)

---

(2)
# K3YbV2O8
Simulated powder XRD pattern, Cu Kα (λ = 1.5418 Å). Input: a structure optimized by DFT (GGA+U).
Neutral-atom scattering factors, no anomalous dispersion.

Structural model:
```
data_K3YbV2O8
_cell_length_a 6.0184
_cell_length_b 6.0184
_cell_length_c 7.6716
_cell_angle_alpha 90.00
_cell_angle_beta 90.00
_cell_angle_gamma 120.00
_space_group_name_H-M_alt 'P -3 m 1'
_space_group_IT_number 164
_space_group_name_Hall '-P 3 2"'
loop_
_atom_site_label
_atom_site_fract_x
_atom_site_fract_y
_atom_site_fract_z
K1 0.0000 0.0000 0.0000
K2 0.3333 0.6667 0.6876
Yb1 0.0000 0.0000 0.5000
V1 0.3333 0.6667 0.2436
O1 0.1745 0.3491 0.3231
O2 0.3333 0.6667 0.0238
```

Top 10 peaks for 2θ = 15–90°, by angle:
17.0 deg, d = 5.212 Å, rel. 29, (1 0 0); 20.6 deg, d = 4.311 Å, rel. 69, (1 0 1); 28.9 deg, d = 3.089 Å, rel. 100, (0 1 2); 29.7 deg, d = 3.009 Å, rel. 100, (1 1 0); 39.2 deg, d = 2.296 Å, rel. 18, (0 1 3); 41.9 deg, d = 2.156 Å, rel. 53, (2 0 2); 52.2 deg, d = 1.752 Å, rel. 35, (1 2 2); 52.7 deg, d = 1.737 Å, rel. 18, (3 0 0); 56.9 deg, d = 1.617 Å, rel. 22, (1 1 4); 61.6 deg, d = 1.505 Å, rel. 18, (2 2 0)

---

(3)
# KW4O12
Simulated powder XRD pattern, Cu Kα (λ = 1.5418 Å). Input: a structure optimized by DFT (GGA+U).
Neutral-atom scattering factors, no anomalous dispersion.

Structural model:
```
data_KW4O12
_cell_length_a 7.5265
_cell_length_b 7.5265
_cell_length_c 15.4846
_cell_angle_alpha 90.00
_cell_angle_beta 90.00
_cell_angle_gamma 120.00
_space_group_name_H-M_alt 'P 6 m m'
_space_group_IT_number 183
_space_group_name_Hall 'P 6 -2'
loop_
_atom_site_label
_atom_site_fract_x
_atom_site_fract_y
_atom_site_fract_z
K1 0.0000 0.0000 0.0000
K2 0.0000 0.0000 0.3134
K3 0.0000 0.0000 0.6283
W1 0.0000 0.5000 0.1911
W2 0.0000 0.5000 0.4418
W3 0.0000 0.5000 0.6921
W4 0.0000 0.5000 0.9409
O1 0.0000 0.5000 0.0677
O2 0.0000 0.5000 0.3166
O3 0.0000 0.5000 0.5653
O4 0.0000 0.5000 0.8162
O5 0.2112 0.4224 0.1925
O6 0.2112 0.4225 0.6900
O7 0.2112 0.4225 0.9427
O8 0.2113 0.4226 0.4406
```

Top 10 peaks for 2θ = 15–90°, by angle:
23.0 deg, d = 3.871 Å, rel. 52, (0 0 4); 26.8 deg, d = 3.328 Å, rel. 22, (1 0 4); 27.4 deg, d = 3.259 Å, rel. 100, (2 0 0); 36.0 deg, d = 2.493 Å, rel. 56, (2 0 4); 48.4 deg, d = 1.882 Å, rel. 26, (2 2 0); 54.2 deg, d = 1.692 Å, rel. 24, (2 2 4); 55.2 deg, d = 1.664 Å, rel. 25, (2 0 8); 56.5 deg, d = 1.630 Å, rel. 16, (4 0 0); 61.8 deg, d = 1.502 Å, rel. 16, (4 0 4); 69.7 deg, d = 1.349 Å, rel. 15, (2 2 8)

---

(4)
# KWO3
Simulated powder XRD pattern, Cu Kα (λ = 1.5418 Å). Input: a structure optimized by DFT (GGA+U).
Neutral-atom scattering factors, no anomalous dispersion.

Structural model:
```
data_KWO3
_cell_length_a 12.7435
_cell_length_b 9.7445
_cell_length_c 5.7251
_cell_angle_alpha 90.00
_cell_angle_beta 97.58
_cell_angle_gamma 90.00
_space_group_name_H-M_alt 'C 1 2/c 1'
_space_group_IT_number 15
loop_
_space_group_symop_operation_xyz
'x,y,z'
'-x,-y,-z'
'-x,y,-z+1/2'
'x,-y,z+1/2'
'x+1/2,y+1/2,z'
'-x+1/2,-y+1/2,-z'
'-x+1/2,y+1/2,-z+1/2'
'x+1/2,-y+1/2,z+1/2'
loop_
_atom_site_label
_atom_site_fract_x
_atom_site_fract_y
_atom_site_fract_z
K1 0.0000 0.1142 0.2500
K2 0.0000 0.3351 0.7500
W1 0.2461 0.1065 0.8695
O1 0.1203 0.1051 0.6774
O2 0.1757 0.2222 0.1213
O3 0.1780 0.4929 0.3825
```

Top 10 peaks for 2θ = 15–90°, by angle:
18.6 deg, d = 4.758 Å, rel. 78, (1 1 -1); 20.2 deg, d = 4.405 Å, rel. 44, (1 1 1); 24.1 deg, d = 3.697 Å, rel. 51, (0 2 1); 26.9 deg, d = 3.317 Å, rel. 100, (2 2 -1); 28.3 deg, d = 3.158 Å, rel. 64, (4 0 0); 29.0 deg, d = 3.077 Å, rel. 88, (2 2 1); 32.7 deg, d = 2.736 Å, rel. 38, (1 1 -2); 36.9 deg, d = 2.434 Å, rel. 62, (0 4 0); 37.2 deg, d = 2.417 Å, rel. 40, (3 3 -1); 51.8 deg, d = 1.765 Å, rel. 36, (6 2 1)